# 1
# Nd8Er3Th
Theoretical PXRD pattern, Cu Ka. Input: a DFT-relaxed cell (GGA-PBE, Alexandria).

Main lines, in order of falling intensity (5 to 70 degrees two-theta):
2θ/deg  I/Imax
30.15  100
34.92  34
59.67  22
50.22  18
35.04  17
59.78  14
50.29  12
59.90  7

Structure:
```
12
Lattice="6.2995 0.0000 0.0000 1.0347 8.0341 0.0000 1.0614 0.6997 8.0184" Properties=species:S:1:pos:R:3 pbc="T T T"
Nd 0.5269 2.7914 1.3335
Nd 2.6039 5.0165 3.3315
Nd 2.6009 7.4128 0.7070
Nd 3.6726 1.5507 2.7034
Nd 4.7230 7.1831 5.3150
Nd 5.7947 1.3210 7.3113
Nd 5.7917 3.7173 4.6869
Nd 7.8687 5.9424 6.6849
Er 2.6152 2.5123 5.9987
Er 3.6671 4.0171 0.0000
Er 5.7804 6.2216 2.0197
Th 0.5307 0.3499 4.0092
```

# 2
# NaTaTe2O8
Theoretical PXRD pattern, Cu Ka. Input: a DFT-relaxed cell (GGA-PBE, Alexandria).

Main lines, in order of falling intensity (5 to 70 degrees two-theta):
2θ/deg  I/Imax
26.97  100
29.31  87
17.22  61
29.50  43
32.14  39
46.83  30
32.63  29
55.57  26

Structure:
```
12
Lattice="5.8063 -2.7854 0.0000 5.8063 2.7854 0.0000 -2.0070 0.0000 5.1509" Properties=species:S:1:pos:R:3 pbc="T T T"
Na 0.0000 0.0000 0.0000
Ta 4.8028 0.0000 2.5755
Te 1.1937 0.0000 3.5897
Te 8.4120 0.0000 1.5612
O 3.9979 1.4075 1.3493
O 1.3785 0.0000 1.7669
O 5.6077 1.4075 3.8016
O 3.2686 0.0000 3.7648
O 6.3370 0.0000 1.3861
O 3.9979 -1.4075 1.3493
O 8.2272 0.0000 3.3840
O 5.6077 -1.4075 3.8016
```

# 3
# CsNpTl2I8
Theoretical PXRD pattern, Cu Ka. Input: a DFT-relaxed cell (GGA-PBE, Alexandria).

Main lines, in order of falling intensity (5 to 70 degrees two-theta):
2θ/deg  I/Imax
29.31  100
27.43  94
8.94  92
13.84  91
29.50  90
26.42  87
28.14  72
29.10  62

Structure:
```
12
Lattice="6.7292 0.0000 0.0000 0.7357 8.3773 0.0000 3.1148 -0.0439 9.8919" Properties=species:S:1:pos:R:3 pbc="T T T"
Cs 0.0000 0.0000 0.0000
Np 4.9220 -0.0220 4.9460
Tl 4.0545 4.5682 3.0518
Tl 6.5252 3.7652 6.8401
I 3.2834 2.2744 5.9702
I 3.9482 6.3571 6.3607
I 2.0341 4.1846 0.0656
I 4.0793 8.0810 2.3796
I 6.5004 0.2524 7.5123
I 8.5455 4.1488 9.8263
I 6.6315 1.9763 3.5312
I 7.2963 6.0590 3.9217
```

# 4
# PmTePdAu
Theoretical PXRD pattern, Cu Ka. Input: a DFT-relaxed cell (GGA-PBE, Alexandria).

Main lines, in order of falling intensity (5 to 70 degrees two-theta):
2θ/deg  I/Imax
35.61  100
63.95  36
51.24  18
21.58  6
42.02  3
56.22  1
68.35  1

Structure:
```
16
Lattice="7.1317 0.0000 0.0000 0.0000 7.1317 0.0000 0.0000 0.0000 7.1317" Properties=species:S:1:pos:R:3 pbc="T T T"
Pm 0.0000 0.0000 0.0000
Pm 0.0000 3.5659 3.5659
Pm 3.5659 0.0000 3.5659
Pm 3.5659 3.5659 0.0000
Te 0.0000 0.0000 3.5659
Te 0.0000 3.5659 0.0000
Te 3.5659 0.0000 0.0000
Te 3.5659 3.5659 3.5659
Pd 1.7829 1.7829 1.7829
Pd 1.7829 5.3488 5.3488
Pd 5.3488 1.7829 5.3488
Pd 5.3488 5.3488 1.7829
Au 1.7829 1.7829 5.3488
Au 1.7829 5.3488 1.7829
Au 5.3488 1.7829 1.7829
Au 5.3488 5.3488 5.3488
```